# 1
Structure and theoretical powder X-ray diffraction pattern of VGe2O6 (a cell relaxed with PBE+U; Cu Kα, 1.54184 Å).
No peak broadening, texture or thermal motion is included.

Cell and atoms:
a b c (Å): 10.183 8.954 5.462
angles (deg): 90.00 103.98 90.00
Space group P2_1/c (No. 14)
Inequivalent atoms, fractional coordinates:
1 V 0.238 0.156 0.277 x4
2 Ge 0.051 0.667 0.698 x4
3 Ge 0.480 0.653 0.873 x4
4 O 0.116 0.701 0.434 x4
5 O 0.121 0.009 0.307 x4
6 O 0.128 0.178 0.887 x4
7 O 0.337 0.202 0.613 x4
8 O 0.404 0.031 0.322 x4
9 O 0.411 0.723 0.561 x4

Peak list (10 most intense, 10 to 80 degrees two-theta, in order of rising 2θ)
(hkl), Position (°2θ), I_rel
2 0 0, 17.95, 44
1 1 -1, 19.67, 100
0 2 0, 19.83, 49
0 2 1, 26.05, 22
3 1 0, 28.88, 61
2 2 -1, 29.35, 55
2 2 1, 34.13, 49
1 3 -1, 34.61, 36
1 1 2, 38.57, 27
5 3 -1, 54.92, 22

=====

# 2
Structure and theoretical powder X-ray diffraction pattern of Li9Co7O16 (a cell relaxed with PBE+U; Cu Kα, 1.54184 Å).
No peak broadening, texture or thermal motion is included.

Cell and atoms:
a b c (Å): 2.984 9.744 10.114
angles (deg): 77.45 89.19 88.67
Space group P-1 (No. 2)
Inequivalent atoms, fractional coordinates:
1 Li 0.000 0.000 0.000 x1
2 Li 0.000 0.000 0.500 x1
3 Li 0.003 0.500 0.256 x2
4 Li 0.498 0.751 0.127 x2
5 Li 0.499 0.248 0.379 x2
6 Li 0.500 0.500 0.500 x1
7 Co 0.002 0.740 0.379 x2
8 Co 0.002 0.751 0.870 x2
9 Co 0.497 0.003 0.749 x2
10 Co 0.500 0.500 0.000 x1
11 O 0.001 0.878 0.696 x2
12 O 0.003 0.640 0.544 x2
13 O 0.009 0.870 0.204 x2
14 O 0.012 0.623 0.050 x2
15 O 0.459 0.126 0.574 x2
16 O 0.470 0.634 0.317 x2
17 O 0.488 0.370 0.184 x2
18 O 0.497 0.878 0.927 x2

Peak list (10 most intense, 10 to 80 degrees two-theta, in order of rising 2θ)
(hkl), Position (°2θ), I_rel
0 1 2, 18.37, 100
1 2 0, 35.19, 17
1 -2 0, 35.87, 14
0 3 -2, 36.88, 12
1 1 -2, 37.49, 8
1 3 2, 42.36, 31
-1 3 2, 43.48, 28
0 2 -4, 44.90, 25
2 0 0, 62.25, 8
1 5 -2, 63.83, 14

=====

# 3
Structure and theoretical powder X-ray diffraction pattern of K2TlNiF6 (a cell relaxed with PBE+U; Cu Kα, 1.54184 Å).
No peak broadening, texture or thermal motion is included.

Cell and atoms:
a b c (Å): 8.789 8.789 8.789
angles (deg): 90.00 90.00 90.00
Space group Fm-3m (No. 225)
Inequivalent atoms, fractional coordinates:
1 K 0.250 0.250 0.250 x8
2 Tl 0.000 0.000 0.000 x4
3 Ni 0.000 0.000 0.500 x4
4 F 0.000 0.000 0.278 x24

Peak list (10 most intense, 10 to 80 degrees two-theta, in order of rising 2θ)
(hkl), Position (°2θ), I_rel
1 1 1, 17.48, 27
2 0 0, 20.21, 61
2 2 0, 28.73, 100
3 1 1, 33.82, 26
4 0 0, 41.08, 40
3 3 1, 44.96, 17
4 2 0, 46.19, 27
4 2 2, 50.90, 38
4 4 0, 59.49, 23
6 2 0, 67.38, 19

=====

# 4
Structure and theoretical powder X-ray diffraction pattern of Li3NiPCO7 (a cell relaxed with PBE+U; Cu Kα, 1.54184 Å).
No peak broadening, texture or thermal motion is included.

Cell and atoms:
a b c (Å): 9.417 6.304 9.693
angles (deg): 90.00 114.73 90.00
Space group P2_1/c (No. 14)
Inequivalent atoms, fractional coordinates:
1 Li 0.109 0.243 0.444 x4
2 Li 0.282 0.501 0.263 x4
3 Li 0.357 0.750 0.066 x4
4 Ni 0.267 0.005 0.261 x4
5 P 0.407 0.239 0.565 x4
6 C 0.040 0.745 0.369 x4
7 O 0.065 0.733 0.508 x4
8 O 0.104 0.234 0.239 x4
9 O 0.154 0.734 0.828 x4
10 O 0.307 0.053 0.576 x4
11 O 0.317 0.059 0.076 x4
12 O 0.414 0.235 0.407 x4
13 O 0.423 0.740 0.810 x4

Peak list (10 most intense, 10 to 80 degrees two-theta, in order of rising 2θ)
(hkl), Position (°2θ), I_rel
1 0 0, 10.34, 28
1 1 -1, 17.88, 100
1 1 1, 22.29, 45
0 1 2, 24.67, 25
2 1 0, 25.16, 22
2 1 -2, 26.29, 34
1 1 -3, 31.19, 21
2 0 2, 34.83, 23
2 2 0, 35.38, 72
1 0 -4, 37.71, 23

=====

# 5
Structure and theoretical powder X-ray diffraction pattern of V3C4NO7 (a cell relaxed with PBE+U; Cu Kα, 1.54184 Å).
No peak broadening, texture or thermal motion is included.

Cell and atoms:
a b c (Å): 8.526 6.586 19.998
angles (deg): 90.00 114.00 90.00
Space group P2_1/c (No. 14)
Inequivalent atoms, fractional coordinates:
1 V 0.043 0.117 0.289 x4
2 V 0.224 0.179 0.706 x4
3 V 0.357 0.680 0.775 x4
4 C 0.184 0.672 0.481 x4
5 C 0.218 0.681 0.560 x4
6 C 0.281 0.636 0.006 x4
7 C 0.381 0.697 0.083 x4
8 N 0.374 0.631 0.530 x4
9 O 0.007 0.176 0.713 x4
10 O 0.142 0.220 0.369 x4
11 O 0.176 0.207 0.621 x4
12 O 0.211 0.610 0.227 x4
13 O 0.232 0.057 0.252 x4
14 O 0.424 0.720 0.861 x4
15 O 0.464 0.164 0.749 x4

Peak list (10 most intense, 10 to 80 degrees two-theta, in order of rising 2θ)
(hkl), Position (°2θ), I_rel
0 0 4, 19.44, 100
0 1 3, 19.86, 68
1 1 2, 22.31, 41
1 1 -4, 22.60, 64
0 1 4, 23.71, 35
2 1 0, 26.59, 80
0 2 0, 27.08, 44
1 2 -1, 29.07, 41
3 0 -4, 31.99, 44
0 3 3, 43.83, 27

=====

# 6
Structure and theoretical powder X-ray diffraction pattern of LiVO2F2 (a cell relaxed with PBE+U; Cu Kα, 1.54184 Å).
No peak broadening, texture or thermal motion is included.

Cell and atoms:
a b c (Å): 6.252 3.523 6.783
angles (deg): 90.00 109.78 90.00
Space group P2_1 (No. 4)
Inequivalent atoms, fractional coordinates:
1 Li 0.150 0.000 0.202 x2
2 V 0.357 0.000 0.772 x2
3 O 0.207 0.001 0.524 x2
4 O 0.405 0.506 0.852 x2
5 F 0.111 0.013 0.886 x2
6 F 0.348 0.510 0.249 x2

Peak list (10 most intense, 10 to 80 degrees two-theta, in order of rising 2θ)
(hkl), Position (°2θ), I_rel
1 0 0, 15.06, 66
1 0 -1, 16.68, 81
0 0 2, 27.96, 42
2 0 -1, 28.80, 30
0 1 1, 28.95, 100
1 1 0, 29.55, 46
1 1 -1, 30.43, 22
1 0 2, 36.28, 32
3 0 -2, 45.35, 36
0 2 0, 51.91, 28

=====

# 7
Structure and theoretical powder X-ray diffraction pattern of MgCo4O9 (a cell relaxed with PBE+U; Cu Kα, 1.54184 Å).
No peak broadening, texture or thermal motion is included.

Cell and atoms:
a b c (Å): 8.159 4.902 11.529
angles (deg): 90.00 134.75 90.00
Space group Pc (No. 7)
Inequivalent atoms, fractional coordinates:
1 Mg 0.000 0.148 0.000 x2
2 Co 0.205 0.380 0.789 x2
3 Co 0.380 0.385 0.593 x2
4 Co 0.636 0.385 0.417 x2
5 Co 0.813 0.387 0.222 x2
6 O 0.110 0.440 0.902 x2
7 O 0.168 0.058 0.732 x2
8 O 0.298 0.064 0.569 x2
9 O 0.321 0.432 0.213 x2
10 O 0.508 0.491 0.005 x2
11 O 0.698 0.427 0.800 x2
12 O 0.713 0.062 0.439 x2
13 O 0.846 0.063 0.276 x2
14 O 0.908 0.448 0.109 x2

Peak list (10 most intense, 10 to 80 degrees two-theta, in order of rising 2θ)
(hkl), Position (°2θ), I_rel
0 1 0, 18.10, 100
1 1 0, 23.80, 21
1 1 1, 30.45, 60
2 1 -3, 30.57, 64
1 0 -4, 34.71, 49
1 2 1, 44.47, 21
2 2 -3, 44.55, 22
2 0 2, 49.73, 20
4 0 -6, 50.07, 24
2 3 -3, 62.24, 21

=====

# 8
Structure and theoretical powder X-ray diffraction pattern of NaInSnWO6 (a cell relaxed with PBE+U; Cu Kα, 1.54184 Å).
No peak broadening, texture or thermal motion is included.

Cell and atoms:
a b c (Å): 8.163 8.163 8.163
angles (deg): 90.00 90.00 90.00
Space group F-43m (No. 216)
Inequivalent atoms, fractional coordinates:
1 Na 0.000 0.000 0.000 x4
2 In 0.250 0.250 0.750 x4
3 Sn 0.000 0.000 0.500 x4
4 W 0.250 0.250 0.250 x4
5 O 0.012 0.250 0.250 x24

Peak list (10 most intense, 10 to 80 degrees two-theta, in order of rising 2θ)
(hkl), Position (°2θ), I_rel
1 1 1, 18.83, 19
2 0 0, 21.78, 26
2 2 0, 30.99, 100
3 1 1, 36.51, 10
4 0 0, 44.39, 32
4 2 0, 49.97, 10
4 2 2, 55.12, 40
4 4 0, 64.59, 19
6 0 0, 69.03, 4
6 2 0, 73.35, 18

=====

# 9
Structure and theoretical powder X-ray diffraction pattern of Ba3Fe2Cl2O5 (a cell relaxed with PBE+U; Cu Kα, 1.54184 Å).
No peak broadening, texture or thermal motion is included.

Cell and atoms:
a b c (Å): 10.123 10.132 10.154
angles (deg): 90.00 90.00 90.00
Space group I2_12_12_1 (No. 24)
Inequivalent atoms, fractional coordinates:
1 Ba 0.000 0.250 0.094 x4
2 Ba 0.095 0.500 0.750 x4
3 Ba 0.250 0.094 0.500 x4
4 Fe 0.095 0.404 0.405 x8
5 Cl 0.193 0.193 0.807 x8
6 O 0.000 0.250 0.360 x4
7 O 0.011 0.010 0.989 x8
8 O 0.142 0.500 0.250 x4
9 O 0.250 0.359 0.500 x4

Peak list (10 most intense, 10 to 80 degrees two-theta, in order of rising 2θ)
(hkl), Position (°2θ), I_rel
1 2 1, 21.47, 65
1 0 3, 27.83, 100
1 3 2, 33.07, 73
0 2 4, 39.76, 34
3 2 3, 41.80, 15
4 2 2, 43.75, 12
1 3 4, 45.62, 20
2 3 5, 55.85, 13
5 2 3, 55.95, 25
1 5 4, 59.03, 14

=====

What did the third record say?
Structure and theoretical powder X-ray diffraction pattern of K2TlNiF6 (a cell relaxed with PBE+U; Cu Kα, 1.54184 Å).
No peak broadening, texture or thermal motion is included.

Cell and atoms:
a b c (Å): 8.789 8.789 8.789
angles (deg): 90.00 90.00 90.00
Space group Fm-3m (No. 225)
Inequivalent atoms, fractional coordinates:
1 K 0.250 0.250 0.250 x8
2 Tl 0.000 0.000 0.000 x4
3 Ni 0.000 0.000 0.500 x4
4 F 0.000 0.000 0.278 x24

Peak list (10 most intense, 10 to 80 degrees two-theta, in order of rising 2θ)
(hkl), Position (°2θ), I_rel
1 1 1, 17.48, 27
2 0 0, 20.21, 61
2 2 0, 28.73, 100
3 1 1, 33.82, 26
4 0 0, 41.08, 40
3 3 1, 44.96, 17
4 2 0, 46.19, 27
4 2 2, 50.90, 38
4 4 0, 59.49, 23
6 2 0, 67.38, 19

=====

Which formula does entry 4 have?
Li3NiPCO7